For PmBiN2O, DFT lattice parameters and positions (GGA-PBE) gives the theoretical powder X-ray diffraction pattern in this record (Cu Kα X-rays).
Kinematic intensities with the Lorentz-polarization factor, no thermal factor.

Structural model:
```
20
Lattice="8.154 0.000 0.000 0.000 5.874 0.000 0.000 0.000 6.113" Properties=species:S:1:pos:R:3 pbc="T T T"
Pm 0.000 1.360 0.000
Pm 0.000 4.515 3.056
Pm 4.077 1.525 0.714
Pm 4.077 4.350 3.771
Bi 2.063 1.560 3.434
Bi 2.063 4.314 0.378
Bi 6.091 1.560 3.434
Bi 6.091 4.314 0.378
N 0.000 2.159 3.784
N 0.000 3.715 0.727
N 2.459 2.477 5.378
N 2.459 3.397 2.322
N 4.077 0.707 3.028
N 4.077 5.167 6.085
N 5.695 2.477 5.378
N 5.695 3.397 2.322
O 1.493 0.316 1.607
O 1.493 5.558 4.663
O 6.661 0.316 1.607
O 6.661 5.558 4.663
```

Peak list (10 most intense, 2θ from 10° to 80°, most intense first)
- 2θ 30.4, d = 2.937 Å, I 100
- 2θ 54.1, d = 1.696 Å, I 26
- 2θ 29.2, d = 3.056 Å, I 19
- 2θ 42.7, d = 2.118 Å, I 16
- 2θ 52.6, d = 1.741 Å, I 12
- 2θ 63.3, d = 1.469 Å, I 11
- 2θ 44.4, d = 2.039 Å, I 9
- 2θ 54.8, d = 1.675 Å, I 9
- 2θ 73.1, d = 1.294 Å, I 7
- 2θ 21.0, d = 4.236 Å, I 5

For Tb2PrGa3Ni3, DFT lattice parameters and positions (GGA-PBE) gives the theoretical powder X-ray diffraction pattern in this record (Cu Kα X-rays).
Kinematic intensities with the Lorentz-polarization factor, no thermal factor.

Structural model:
```
9
Lattice="3.818 0.000 0.000 0.000 6.158 3.571 0.000 -6.158 3.571" Properties=species:S:1:pos:R:3 pbc="T T T"
Tb 0.000 -3.615 3.571
Tb 0.000 3.615 3.571
Pr 0.000 0.000 2.686
Ga 1.909 0.000 0.202
Ga 1.909 -1.533 4.826
Ga 1.909 1.533 4.826
Ni 0.000 0.000 5.673
Ni 1.909 -2.104 2.083
Ni 1.909 2.104 2.083
```

Peak list (10 most intense, 2θ from 10° to 80°, most intense first)
- 2θ 34.4, d = 2.605 Å, I 100
- 2θ 37.5, d = 2.400 Å, I 90
- 2θ 38.6, d = 2.335 Å, I 32
- 2θ 47.6, d = 1.909 Å, I 23
- 2θ 59.1, d = 1.563 Å, I 20
- 2θ 38.7, d = 2.329 Å, I 17
- 2θ 71.1, d = 1.326 Å, I 15
- 2θ 62.9, d = 1.478 Å, I 15
- 2θ 25.0, d = 3.563 Å, I 13
- 2θ 44.0, d = 2.060 Å, I 12

For Ho5Tm3, DFT lattice parameters and positions (GGA-PBE) gives the theoretical powder X-ray diffraction pattern in this record (Cu Kα X-rays).
Kinematic intensities with the Lorentz-polarization factor, no thermal factor.

Structural model:
```
8
Lattice="7.149 0.000 0.000 -3.574 6.191 0.000 0.000 0.000 5.545" Properties=species:S:1:pos:R:3 pbc="T T T"
Ho 0.000 0.000 0.000
Ho -1.786 3.097 0.000
Ho 0.000 6.189 0.000
Ho 1.786 3.097 0.000
Ho 3.574 2.064 2.772
Tm 0.000 2.067 2.772
Tm -1.785 5.158 2.772
Tm 1.785 5.158 2.772
```

Peak list (10 most intense, 2θ from 10° to 80°, most intense first)
- 2θ 33.1, d = 2.703 Å, I 100
- 2θ 28.8, d = 3.096 Å, I 24
- 2θ 32.3, d = 2.772 Å, I 24
- 2θ 61.8, d = 1.502 Å, I 22
- 2θ 58.1, d = 1.587 Å, I 20
- 2θ 51.1, d = 1.787 Å, I 20
- 2θ 62.3, d = 1.491 Å, I 16
- 2θ 43.8, d = 2.065 Å, I 15
- 2θ 69.6, d = 1.351 Å, I 4
- 2θ 75.1, d = 1.265 Å, I 3

For AgAuSO, DFT lattice parameters and positions (GGA-PBE) gives the theoretical powder X-ray diffraction pattern in this record (Cu Kα X-rays).
Kinematic intensities with the Lorentz-polarization factor, no thermal factor.

Structural model:
```
16
Lattice="6.145 0.000 0.000 0.000 7.169 0.000 0.000 0.000 6.362" Properties=species:S:1:pos:R:3 pbc="T T T"
Ag 1.083 0.601 0.000
Ag 1.990 0.601 3.181
Ag 4.155 6.568 0.000
Ag 5.062 6.568 3.181
Au 1.140 4.559 0.194
Au 1.932 4.559 3.375
Au 4.212 2.610 0.194
Au 5.005 2.610 3.375
S 0.204 2.657 5.423
S 2.868 2.657 2.242
S 3.276 4.512 5.423
S 5.941 4.512 2.242
O 1.037 6.197 4.299
O 2.036 6.197 1.118
O 4.109 0.971 4.299
O 5.108 0.971 1.118
```

Peak list (10 most intense, 2θ from 10° to 80°, most intense first)
- 2θ 28.8, d = 3.096 Å, I 100
- 2θ 40.7, d = 2.219 Å, I 98
- 2θ 28.1, d = 3.181 Å, I 71
- 2θ 32.4, d = 2.767 Å, I 67
- 2θ 53.5, d = 1.713 Å, I 53
- 2θ 19.0, d = 4.665 Å, I 38
- 2θ 32.2, d = 2.784 Å, I 33
- 2θ 40.8, d = 2.210 Å, I 30
- 2θ 29.1, d = 3.072 Å, I 27
- 2θ 66.0, d = 1.415 Å, I 21

For Ba2P3Pd, DFT lattice parameters and positions (GGA-PBE) gives the theoretical powder X-ray diffraction pattern in this record (Cu Kα X-rays).
Kinematic intensities with the Lorentz-polarization factor, no thermal factor.

Structural model:
```
24
Lattice="6.531 0.000 0.000 0.000 7.253 0.000 -0.340 0.000 12.970" Properties=species:S:1:pos:R:3 pbc="T T T"
Ba 0.740 1.775 2.144
Ba 0.569 1.851 8.630
Ba 2.006 5.435 7.273
Ba 2.176 5.444 0.787
Ba 4.014 1.809 12.183
Ba 4.184 1.818 5.698
Ba 5.621 5.402 4.341
Ba 5.451 5.478 10.826
P 0.883 0.789 11.750
P 1.053 2.837 5.265
P 1.074 0.655 5.255
P 0.904 2.972 11.740
P 2.361 4.156 10.473
P 2.532 6.724 3.988
P 3.659 0.529 8.982
P 3.829 3.097 2.497
P 5.287 4.281 1.230
P 5.116 6.598 7.715
P 5.138 4.416 7.706
P 5.308 6.464 1.220
Pd 2.398 4.346 3.984
Pd 2.228 6.533 10.469
Pd 3.963 0.719 2.501
Pd 3.793 2.907 8.986
```

Peak list (10 most intense, 2θ from 10° to 80°, most intense first)
- 2θ 30.0, d = 2.977 Å, I 100
- 2θ 30.2, d = 2.960 Å, I 95
- 2θ 31.6, d = 2.834 Å, I 75
- 2θ 42.1, d = 2.146 Å, I 58
- 2θ 22.7, d = 3.922 Å, I 37
- 2θ 39.7, d = 2.271 Å, I 34
- 2θ 38.6, d = 2.331 Å, I 28
- 2θ 24.5, d = 3.626 Å, I 24
- 2θ 54.5, d = 1.684 Å, I 23
- 2θ 59.1, d = 1.562 Å, I 18

For Ir3I2, DFT lattice parameters and positions (GGA-PBE) gives the theoretical powder X-ray diffraction pattern in this record (Cu Kα X-rays).
Kinematic intensities with the Lorentz-polarization factor, no thermal factor.

Structural model:
```
10
Lattice="3.345 1.931 5.347 -3.345 1.931 5.347 0.000 -3.862 5.347" Properties=species:S:1:pos:R:3 pbc="T T T"
Ir -0.790 -1.368 4.011
Ir -0.790 1.368 4.011
Ir 1.580 0.000 4.011
Ir -1.580 0.000 12.032
Ir 0.790 -1.368 12.032
Ir 0.790 1.368 12.032
I 0.000 0.000 1.793
I 0.000 0.000 6.228
I 0.000 0.000 9.814
I 0.000 0.000 14.249
```

Peak list (10 most intense, 2θ from 10° to 80°, most intense first)
- 2θ 31.5, d = 2.836 Å, I 100
- 2θ 41.6, d = 2.170 Å, I 65
- 2θ 47.3, d = 1.922 Å, I 57
- 2θ 33.5, d = 2.674 Å, I 57
- 2θ 18.9, d = 4.697 Å, I 48
- 2θ 38.3, d = 2.348 Å, I 44
- 2θ 50.5, d = 1.809 Å, I 38
- 2θ 42.8, d = 2.113 Å, I 25
- 2θ 58.3, d = 1.583 Å, I 25
- 2θ 48.0, d = 1.895 Å, I 23

For GaCuI2Br2, DFT lattice parameters and positions (GGA-PBE) gives the theoretical powder X-ray diffraction pattern in this record (Cu Kα X-rays).
Kinematic intensities with the Lorentz-polarization factor, no thermal factor.

Structural model:
```
6
Lattice="6.101 0.000 0.000 -0.035 6.108 0.000 -2.841 -2.917 5.607" Properties=species:S:1:pos:R:3 pbc="T T T"
Ga 0.000 0.000 0.000
Cu 0.052 3.191 2.804
I 1.516 1.542 1.436
I 1.712 -1.417 4.164
Br -1.487 1.817 4.206
Br 4.728 4.687 1.401
```

Peak list (10 most intense, 2θ from 10° to 80°, most intense first)
- 2θ 25.6, d = 3.483 Å, I 100
- 2θ 25.9, d = 3.438 Å, I 95
- 2θ 26.1, d = 3.415 Å, I 93
- 2θ 26.6, d = 3.346 Å, I 86
- 2θ 16.7, d = 5.293 Å, I 76
- 2θ 29.3, d = 3.051 Å, I 52
- 2θ 49.5, d = 1.842 Å, I 44
- 2θ 41.7, d = 2.164 Å, I 42
- 2θ 42.0, d = 2.150 Å, I 40
- 2θ 43.1, d = 2.100 Å, I 38

For La2Al3CdNi2, DFT lattice parameters and positions (GGA-PBE) gives the theoretical powder X-ray diffraction pattern in this record (Cu Kα X-rays).
Kinematic intensities with the Lorentz-polarization factor, no thermal factor.

Structural model:
```
8
Lattice="5.108 -2.122 0.000 5.108 2.122 0.000 -0.008 0.000 7.374" Properties=species:S:1:pos:R:3 pbc="T T T"
La 0.000 0.000 0.000
La 1.157 0.000 3.593
Al 4.038 0.000 5.098
Al 4.053 0.000 2.271
Al 7.384 0.000 1.433
Cd 7.228 0.000 5.900
Ni 2.907 0.000 0.123
Ni 8.646 0.000 3.592
```

Peak list (10 most intense, 2θ from 10° to 80°, most intense first)
- 2θ 33.4, d = 2.685 Å, I 100
- 2θ 35.9, d = 2.499 Å, I 81
- 2θ 37.3, d = 2.414 Å, I 46
- 2θ 22.7, d = 3.919 Å, I 32
- 2θ 42.6, d = 2.122 Å, I 32
- 2θ 24.1, d = 3.687 Å, I 27
- 2θ 57.9, d = 1.594 Å, I 25
- 2θ 33.7, d = 2.656 Å, I 22
- 2θ 50.6, d = 1.804 Å, I 21
- 2θ 40.7, d = 2.215 Å, I 17

For Dy2H2IBrO2, DFT lattice parameters and positions (GGA-PBE) gives the theoretical powder X-ray diffraction pattern in this record (Cu Kα X-rays).
Kinematic intensities with the Lorentz-polarization factor, no thermal factor.

Structural model:
```
8
Lattice="3.962 0.000 0.000 -1.981 3.431 0.000 0.000 0.000 10.577" Properties=species:S:1:pos:R:3 pbc="T T T"
Dy 0.000 0.000 0.000
Dy 0.000 2.287 5.123
H 1.981 1.144 3.489
H 1.981 1.144 9.054
I 0.000 0.000 7.280
Br 0.000 2.287 1.975
O 1.981 1.144 4.468
O 1.981 1.144 10.038
```

Peak list (10 most intense, 2θ from 10° to 80°, most intense first)
- 2θ 36.5, d = 2.459 Å, I 100
- 2θ 27.3, d = 3.263 Å, I 85
- 2θ 45.8, d = 1.981 Å, I 43
- 2θ 26.0, d = 3.431 Å, I 33
- 2θ 16.8, d = 5.289 Å, I 26
- 2θ 58.2, d = 1.585 Å, I 24
- 2θ 60.0, d = 1.543 Å, I 24
- 2θ 78.6, d = 1.217 Å, I 22
- 2θ 33.9, d = 2.644 Å, I 19
- 2θ 67.8, d = 1.383 Å, I 14

For Zn3Sb, DFT lattice parameters and positions (GGA-PBE) gives the theoretical powder X-ray diffraction pattern in this record (Cu Kα X-rays).
Kinematic intensities with the Lorentz-polarization factor, no thermal factor.

Structural model:
```
8
Lattice="2.580 -5.838 0.000 2.580 5.838 0.000 0.000 0.000 5.053" Properties=species:S:1:pos:R:3 pbc="T T T"
Zn 2.580 5.322 3.790
Zn 1.288 1.712 3.790
Zn 1.288 -1.712 1.263
Zn 3.872 1.712 3.790
Zn 3.872 -1.712 1.263
Zn 2.580 -5.322 1.263
Sb 2.580 1.618 1.263
Sb 2.580 -1.618 3.790
```

Peak list (10 most intense, 2θ from 10° to 80°, most intense first)
- 2θ 42.3, d = 2.138 Å, I 100
- 2θ 35.5, d = 2.527 Å, I 62
- 2θ 46.3, d = 1.961 Å, I 50
- 2θ 28.7, d = 3.107 Å, I 38
- 2θ 30.6, d = 2.919 Å, I 29
- 2θ 25.8, d = 3.449 Å, I 23
- 2θ 68.4, d = 1.371 Å, I 22
- 2θ 47.6, d = 1.910 Å, I 17
- 2θ 70.5, d = 1.336 Å, I 14
- 2θ 77.5, d = 1.232 Å, I 12

For HfMgSb2Pd2, DFT lattice parameters and positions (GGA-PBE) gives the theoretical powder X-ray diffraction pattern in this record (Cu Kα X-rays).
Kinematic intensities with the Lorentz-polarization factor, no thermal factor.

Structural model:
```
12
Lattice="-3.165 3.165 6.360 3.165 -3.165 6.360 3.165 3.165 -6.360" Properties=species:S:1:pos:R:3 pbc="T T T"
Hf 0.000 0.000 0.000
Hf 0.000 3.165 3.180
Mg 3.165 0.000 3.180
Mg 0.000 0.000 6.360
Sb 3.165 0.000 0.038
Sb 0.000 0.000 3.218
Sb 3.165 0.000 6.322
Sb 0.000 0.000 9.501
Pd 4.747 1.533 -1.590
Pd 1.533 1.582 1.590
Pd -1.582 1.632 4.770
Pd 1.632 1.582 7.950
```

Peak list (10 most intense, 2θ from 10° to 80°, most intense first)
- 2θ 40.2, d = 2.241 Å, I 100
- 2θ 24.3, d = 3.660 Å, I 29
- 2θ 73.2, d = 1.293 Å, I 22
- 2θ 15.6, d = 5.667 Å, I 18
- 2θ 73.0, d = 1.296 Å, I 11
- 2θ 58.3, d = 1.582 Å, I 11
- 2θ 28.2, d = 3.165 Å, I 10
- 2θ 47.6, d = 1.909 Å, I 9
- 2θ 25.3, d = 3.523 Å, I 6
- 2θ 58.0, d = 1.590 Å, I 6

For K2Gd3Pb5, DFT lattice parameters and positions (GGA-PBE) gives the theoretical powder X-ray diffraction pattern in this record (Cu Kα X-rays).
Kinematic intensities with the Lorentz-polarization factor, no thermal factor.

Structural model:
```
10
Lattice="2.621 -12.939 0.000 2.621 12.939 0.000 0.000 0.000 4.530" Properties=species:S:1:pos:R:3 pbc="T T T"
K 2.621 10.309 0.000
K 2.621 -10.309 0.000
Gd 2.621 5.079 0.000
Gd 2.621 0.000 0.000
Gd 2.621 -5.079 0.000
Pb 0.000 0.000 2.265
Pb 2.621 7.603 2.265
Pb 2.621 2.526 2.265
Pb 2.621 -2.526 2.265
Pb 2.621 -7.603 2.265
```

Peak list (10 most intense, 2θ from 10° to 80°, most intense first)
- 2θ 31.3, d = 2.858 Å, I 100
- 2θ 34.2, d = 2.621 Å, I 20
- 2θ 34.7, d = 2.588 Å, I 18
- 2θ 59.4, d = 1.555 Å, I 16
- 2θ 39.8, d = 2.265 Å, I 16
- 2θ 60.0, d = 1.541 Å, I 14
- 2θ 49.5, d = 1.841 Å, I 14
- 2θ 53.8, d = 1.705 Å, I 13
- 2θ 65.3, d = 1.429 Å, I 12
- 2θ 53.5, d = 1.714 Å, I 12

For ReAg2SbS6, DFT lattice parameters and positions (GGA-PBE) gives the theoretical powder X-ray diffraction pattern in this record (Cu Kα X-rays).
Kinematic intensities with the Lorentz-polarization factor, no thermal factor.

Structural model:
```
10
Lattice="0.000 4.908 4.908 4.908 0.000 4.908 4.908 4.908 0.000" Properties=species:S:1:pos:R:3 pbc="T T T"
Re 0.000 0.000 0.000
Ag 2.454 2.454 2.454
Ag 7.361 7.361 7.361
Sb 4.908 4.908 4.908
S 4.908 4.908 2.327
S 4.908 2.327 4.908
S 7.488 4.908 4.908
S 2.327 4.908 4.908
S 4.908 7.488 4.908
S 4.908 4.908 7.488
```

Peak list (10 most intense, 2θ from 10° to 80°, most intense first)
- 2θ 25.7, d = 3.470 Å, I 100
- 2θ 36.6, d = 2.454 Å, I 48
- 2θ 45.3, d = 2.004 Å, I 43
- 2θ 52.8, d = 1.735 Å, I 32
- 2θ 72.0, d = 1.312 Å, I 22
- 2θ 59.6, d = 1.552 Å, I 20
- 2θ 18.1, d = 4.908 Å, I 12
- 2θ 65.9, d = 1.417 Å, I 11
- 2θ 15.6, d = 5.667 Å, I 6
- 2θ 41.1, d = 2.195 Å, I 5